Diffraction record for Ba2SmMgCu3O7. The powder diffraction line list is computed, not measured: it uses a cell relaxed with PBE and Cu Kα.

Structure:
Lattice parameters (Å, degrees): 3.7654 3.9742 14.5299 90.00 90.00 90.00
Fractional positions:
Ba (0.0000, 0.0000, 0.0000)
Ba (0.0000, 0.0000, 0.3071)
Sm (0.0000, 0.0000, 0.7412)
Mg (0.0000, 0.5000, 0.4966)
Cu (0.5000, 0.5000, 0.1564)
Cu (0.5000, 0.5000, 0.6362)
Cu (0.5000, 0.5000, 0.8605)
O (0.0000, 0.5000, 0.6301)
O (0.0000, 0.5000, 0.8346)
O (0.5000, 0.0000, 0.1938)
O (0.5000, 0.0000, 0.6422)
O (0.5000, 0.0000, 0.8500)
O (0.5000, 0.5000, 0.0233)
O (0.5000, 0.5000, 0.4291)

Principal peaks in the range 10 to 80 degrees two-theta, most intense first:
| 2theta | d_spacing | intensity | index |
| --- | --- | --- | --- |
| 32.8 | 2.733 | 100 | 1 1 0 |
| 34.3 | 2.614 | 81 | 1 0 4 |
| 33.4 | 2.682 | 80 | 0 1 4 |
| 29.1 | 3.072 | 60 | 0 1 3 |
| 55.6 | 1.653 | 55 | 1 1 7 |
| 30.1 | 2.973 | 50 | 1 0 3 |
| 45.6 | 1.988 | 43 | 0 2 0 |
| 12.2 | 7.265 | 35 | 0 0 2 |
| 58.3 | 1.582 | 34 | 1 2 4 |
| 37.8 | 2.380 | 33 | 1 1 3 |